Ce5NiGe2: calculated XRD peak list (λ = 1.5418 Å (Cu Kα)), based on a crystal structure in Alexandria, relaxed with PBE.

Most intense lines, 2θ = 10–90°, by angle:
(0 0 2), 2θ 31.72, rel. 207
(3 2 1), 2θ 31.86, rel. 637
(4 2 0), 2θ 34.35, rel. 524
(2 0 2), 2θ 35.34, rel. 341
(4 1 1), 2θ 35.47, rel. 1000
(2 2 2), 2θ 38.66, rel. 387
(6 3 1), 2θ 55.20, rel. 182
(5 5 0), 2θ 55.66, rel. 200
(4 1 3), 2θ 58.95, rel. 228
(6 4 2), 2θ 66.61, rel. 174

Structure:
a b c (Å): 11.676 11.676 5.642
angles (deg): 90.00 90.00 90.00
Space group P4/ncc (No. 130, origin choice 2)
One atom of each set of equivalent atoms:
Ce1 0.035 0.171 0.249 [16 per cell]
Ce2 0.250 0.750 0.000 [4 per cell]
Ni1 0.250 0.250 0.497 [4 per cell]
Ge1 0.088 0.588 0.750 [8 per cell]



CePa2Ni2Ge2: calculated XRD peak list (λ = 1.5418 Å (Cu Kα)), based on a crystal structure in Alexandria, relaxed with PBE.

Most intense lines, 2θ = 10–90°, by angle:
(1 0 1), 2θ 25.08, rel. 343
(1 0 4), 2θ 28.11, rel. 144
(1 0 7), 2θ 33.90, rel. 1000
(0 1 8), 2θ 36.25, rel. 488
(1 1 0), 2θ 43.80, rel. 642
(0 1 14), 2θ 53.25, rel. 125
(0 2 7), 2θ 56.51, rel. 233
(2 0 8), 2θ 58.12, rel. 127
(1 1 15), 2θ 68.46, rel. 267
(2 1 7), 2θ 74.12, rel. 209

Structure:
a b c (Å): 4.1338 4.1338 27.4641
angles (deg): 90.00 90.00 120.00
Space group R-3m (No. 166, hexagonal axes)
One atom of each set of equivalent atoms:
Ce1 0.0000 0.0000 0.0000 [3 per cell]
Pa1 0.0000 0.0000 0.1373 [6 per cell]
Ni1 0.0000 0.0000 0.4113 [6 per cell]
Ge1 0.0000 0.0000 0.2650 [6 per cell]



CePm2Ni2Ge2: calculated XRD peak list (λ = 1.5418 Å (Cu Kα)), based on a crystal structure in Alexandria, relaxed with PBE.

Most intense lines, 2θ = 10–90°, by angle:
(1 0 1), 2θ 24.32, rel. 365
(1 0 7), 2θ 32.24, rel. 612
(0 1 8), 2θ 34.37, rel. 1000
(1 0 10), 2θ 39.07, rel. 137
(1 1 0), 2θ 42.45, rel. 798
(0 2 7), 2θ 54.29, rel. 139
(2 0 8), 2θ 55.71, rel. 326
(1 1 15), 2θ 64.46, rel. 245
(1 2 8), 2θ 72.47, rel. 259
(3 0 0), 2θ 77.67, rel. 132

Structure:
a b c (Å): 4.2587 4.2587 29.5317
angles (deg): 90.00 90.00 120.00
Space group R-3m (No. 166, hexagonal axes)
One atom of each set of equivalent atoms:
Ce1 0.0000 0.0000 0.0000 [3 per cell]
Pm1 0.0000 0.0000 0.1214 [6 per cell]
Ni1 0.0000 0.0000 0.3942 [6 per cell]
Ge1 0.0000 0.0000 0.2681 [6 per cell]



Ce2NiGe6Rh: calculated XRD peak list (λ = 1.5418 Å (Cu Kα)), based on a crystal structure in Alexandria, relaxed with PBE.

Most intense lines, 2θ = 10–90°, by angle:
(1 1 0), 2θ 29.20, rel. 598
(0 0 12), 2θ 29.41, rel. 398
(1 0 10), 2θ 29.75, rel. 534
(2 0 5), 2θ 36.08, rel. 852
(0 2 7), 2θ 38.12, rel. 1000
(0 2 10), 2θ 42.17, rel. 358
(1 2 2), 2θ 45.58, rel. 186
(1 1 15), 2θ 47.81, rel. 282
(2 0 14), 2θ 49.06, rel. 192
(2 2 0), 2θ 60.54, rel. 416

Structure:
a b c (Å): 6.1176 6.1176 36.4465
angles (deg): 90.00 90.00 120.00
Space group R-3m (No. 166, hexagonal axes)
One atom of each set of equivalent atoms:
Ce1 0.0000 0.0000 0.1087 [6 per cell]
Ce2 0.0000 0.0000 0.2962 [6 per cell]
Ni1 0.0000 0.0000 0.0000 [3 per cell]
Ni2 0.0000 0.0000 0.5000 [3 per cell]
Ge1 0.0371 0.5185 0.2937 [18 per cell]
Ge2 0.0581 0.5291 0.8687 [18 per cell]
Rh1 0.0000 0.0000 0.4285 [6 per cell]



Ce2Ni4Ge3Ru: calculated XRD peak list (λ = 1.5418 Å (Cu Kα)), based on a crystal structure in Alexandria, relaxed with PBE.

Most intense lines, 2θ = 10–90°, by angle:
(1 1 0), 2θ 32.22, rel. 112
(1 0 3), 2θ 34.19, rel. 538
(1 1 2), 2θ 36.54, rel. 1000
(2 0 0), 2θ 46.21, rel. 487
(1 0 5), 2θ 48.94, rel. 280
(2 1 3), 2θ 58.72, rel. 223
(1 1 6), 2θ 62.43, rel. 111
(2 2 0), 2θ 67.41, rel. 151
(2 1 5), 2θ 69.58, rel. 189
(3 1 2), 2θ 79.19, rel. 199

Structure:
a b c (Å): 3.929 3.929 10.567
angles (deg): 90.00 90.00 90.00
Space group P-4m2 (No. 115)
One atom of each set of equivalent atoms:
Ce1 0.000 0.500 0.241 [2 per cell]
Ni1 0.000 0.000 0.500 [1 per cell]
Ni2 0.000 0.500 0.850 [2 per cell]
Ni3 0.500 0.500 0.500 [1 per cell]
Ge1 0.000 0.000 0.000 [1 per cell]
Ge2 0.000 0.500 0.626 [2 per cell]
Ru1 0.500 0.500 0.000 [1 per cell]



Ce2NiGeS5: calculated XRD peak list (λ = 1.5418 Å (Cu Kα)), based on a crystal structure in Alexandria, relaxed with PBE.

Most intense lines, 2θ = 10–90°, by angle:
(0 0 2), 2θ 15.72, rel. 626
(0 4 0), 2θ 21.04, rel. 659
(0 2 3), 2θ 25.95, rel. 986
(1 1 2), 2θ 28.23, rel. 850
(1 3 1), 2θ 28.86, rel. 589
(1 3 2), 2θ 32.03, rel. 682
(1 1 3), 2θ 33.47, rel. 597
(1 5 2), 2θ 38.64, rel. 1000
(0 8 0), 2θ 42.78, rel. 743
(2 0 0), 2θ 46.32, rel. 546

Structure:
a b c (Å): 3.920 16.889 11.273
angles (deg): 90.00 90.00 90.00
Space group Cmc2_1 (No. 36)
One atom of each set of equivalent atoms:
Ce1 0.000 0.116 0.000 [4 per cell]
Ce2 0.000 0.123 0.625 [4 per cell]
Ni1 0.000 0.254 0.451 [4 per cell]
Ge1 0.000 0.406 0.799 [4 per cell]
S1 0.000 0.037 0.394 [4 per cell]
S2 0.000 0.302 0.640 [4 per cell]
S3 0.000 0.306 0.966 [4 per cell]
S4 0.000 0.354 0.319 [4 per cell]
S5 0.000 0.493 0.617 [4 per cell]



Ce2ThNi2Ge2: calculated XRD peak list (λ = 1.5418 Å (Cu Kα)), based on a crystal structure in Alexandria, relaxed with PBE.

Most intense lines, 2θ = 10–90°, by angle:
(1 0 1), 2θ 24.64, rel. 430
(0 1 5), 2θ 29.41, rel. 137
(1 0 7), 2θ 33.55, rel. 1000
(0 1 8), 2θ 35.92, rel. 673
(1 1 0), 2θ 42.99, rel. 760
(0 2 7), 2θ 55.61, rel. 236
(2 0 8), 2θ 57.23, rel. 176
(1 1 15), 2θ 67.82, rel. 328
(2 1 7), 2θ 72.76, rel. 211
(1 2 8), 2θ 74.17, rel. 164

Structure:
a b c (Å): 4.2077 4.2077 27.4918
angles (deg): 90.00 90.00 120.00
Space group R-3m (No. 166, hexagonal axes)
One atom of each set of equivalent atoms:
Ce1 0.0000 0.0000 0.1380 [6 per cell]
Th1 0.0000 0.0000 0.0000 [3 per cell]
Ni1 0.0000 0.0000 0.4063 [6 per cell]
Ge1 0.0000 0.0000 0.2607 [6 per cell]



Ce2Ge2O7: calculated XRD peak list (λ = 1.5418 Å (Cu Kα)), based on a crystal structure in Alexandria, relaxed with PBE.

Most intense lines, 2θ = 10–90°, by angle:
(1 1 1), 2θ 14.89, rel. 79
(2 2 2), 2θ 30.05, rel. 1000
(4 0 0), 2θ 34.83, rel. 307
(3 3 1), 2θ 38.07, rel. 95
(4 4 0), 2θ 50.08, rel. 471
(6 2 2), 2θ 59.52, rel. 425
(4 4 4), 2θ 62.45, rel. 101
(8 0 0), 2θ 73.54, rel. 68
(6 6 2), 2θ 81.43, rel. 172
(8 4 0), 2θ 84.02, rel. 143

Structure:
a b c (Å): 10.303 10.303 10.303
angles (deg): 90.00 90.00 90.00
Space group Fd-3m (No. 227, origin choice 2)
One atom of each set of equivalent atoms:
Ce1 0.000 0.000 0.000 [16 per cell]
Ge1 0.000 0.000 0.500 [16 per cell]
O1 0.076 0.375 0.875 [48 per cell]
O2 0.125 0.125 0.125 [8 per cell]